# 1
Simulated powder X-ray diffraction pattern
Compound: Nd8DyTm5
Radiation: Cu Kα, 1.54184 Å
Structure: a crystal structure in Alexandria, relaxed with PBE

Most intense lines, 2θ from 10° to 80°, low angle first:
2θ 25.79, I 253, (1 2 -2)
2θ 29.80, I 454, (-2 1 2)
2θ 31.16, I 385, (2 -2 1)
2θ 31.64, I 1000, (1 1 1)
2θ 31.95, I 383, (2 2 -2)
2θ 32.17, I 184, (2 1 -3)
2θ 32.56, I 601, (3 0 -1)
2θ 34.52, I 413, (1 -3 0)
2θ 50.17, I 212, (4 1 -4)
2θ 58.65, I 208, (4 1 0)

Structural model:
Cell lengths 8.5591, 8.5612, 8.6213 Å; angles 114.18, 116.13, 98.26 degrees
Space group P1 (No. 1)
Symmetry-distinct sites (fractional):
Nd 0.0000 0.0000 0.0000 [1 per cell]
Nd 0.0013 0.6862 0.5725 [1 per cell]
Nd 0.3879 0.4957 0.3273 [1 per cell]
Nd 0.4379 0.1262 0.5635 [1 per cell]
Nd 0.5516 0.5546 0.9910 [1 per cell]
Nd 0.6062 0.1865 0.2360 [1 per cell]
Nd 0.7325 0.9472 0.5118 [1 per cell]
Nd 0.8731 0.3461 0.0508 [1 per cell]
Dy 0.9987 0.8417 0.2819 [1 per cell]
Tm 0.1296 0.3426 0.5212 [1 per cell]
Tm 0.2192 0.1592 0.8194 [1 per cell]
Tm 0.2590 0.7341 0.0421 [1 per cell]
Tm 0.4933 0.8375 0.7815 [1 per cell]
Tm 0.7774 0.5257 0.7438 [1 per cell]

***

# 2
Simulated powder X-ray diffraction pattern
Compound: Nd3Dy4Tm2
Radiation: Cu Kα, 1.54184 Å
Structure: a crystal structure in Alexandria, relaxed with PBE

Most intense lines, 2θ from 10° to 80°, low angle first:
2θ 30.60, I 1000, (0 0 3)
2θ 30.69, I 331, (2 -1 1)
2θ 35.47, I 451, (1 1 1)
2θ 35.58, I 223, (1 -2 3)
2θ 50.95, I 81, (-1 2 3)
2θ 51.11, I 321, (3 0 -1)
2θ 60.62, I 144, (1 1 4)
2θ 60.73, I 191, (3 0 2)
2θ 60.83, I 190, (2 -4 3)
2θ 63.71, I 124, (0 0 6)

Structural model:
Cell lengths 6.1813, 6.1890, 9.4576 Å; angles 108.89, 90.13, 119.88 degrees
Space group P-1 (No. 2)
Symmetry-distinct sites (fractional):
Nd 0.0000 0.0000 0.0000 [1 per cell]
Nd 0.1121 0.5559 0.3339 [2 per cell]
Dy 0.2235 0.1135 0.6666 [2 per cell]
Dy 0.3354 0.6685 0.0001 [2 per cell]
Tm 0.4452 0.2231 0.3341 [2 per cell]